Record 1
Diffraction record for Li2ScF5. The XRD peak list is simulated, not measured: it uses a PBE-relaxed structure and λ = 1.5418 Å (Cu Kα).
Neutral-atom scattering factors, no anomalous dispersion.

Peak list (12 most intense, 10° ≤ 2θ ≤ 90°, by intensity)
| 2θ/deg | I (rel.) |
| --- | --- |
| 17.0 | 100 |
| 19.4 | 44 |
| 28.0 | 37 |
| 37.1 | 26 |
| 19.7 | 22 |
| 40.0 | 21 |
| 44.9 | 18 |
| 42.0 | 18 |
| 49.0 | 16 |
| 49.5 | 15 |
| 41.0 | 15 |
| 45.0 | 14 |

```
Li2ScF5
1.0
9.147 0.000 0.000
0.000 6.384 0.000
0.000 0.000 6.365
Li Sc F
8 4 20
direct
0.167 0.033 0.057
0.167 0.467 0.057
0.333 0.533 0.557
0.333 0.967 0.557
0.667 0.033 0.443
0.667 0.467 0.443
0.833 0.533 0.943
0.833 0.967 0.943
0.017 0.250 0.579
0.483 0.750 0.079
0.517 0.250 0.921
0.983 0.750 0.421
0.050 0.250 0.904
0.066 0.038 0.327
0.066 0.462 0.327
0.184 0.750 0.576
0.241 0.250 0.586
0.259 0.750 0.086
0.316 0.250 0.076
0.434 0.538 0.827
0.434 0.962 0.827
0.450 0.750 0.404
0.550 0.250 0.596
0.566 0.038 0.173
0.566 0.462 0.173
0.684 0.750 0.924
0.741 0.250 0.914
0.759 0.750 0.414
0.816 0.250 0.424
0.934 0.538 0.673
0.934 0.962 0.673
0.950 0.750 0.096
```

Record 2
Diffraction record for LiScF4. The XRD peak list is simulated, not measured: it uses a PBE-relaxed structure and λ = 1.5418 Å (Cu Kα).
Neutral-atom scattering factors, no anomalous dispersion.

Peak list (12 most intense, 10° ≤ 2θ ≤ 90°, by intensity)
| 2θ/deg | I (rel.) |
| --- | --- |
| 19.6 | 100 |
| 43.6 | 39 |
| 50.9 | 34 |
| 30.5 | 30 |
| 30.6 | 30 |
| 41.0 | 22 |
| 40.9 | 22 |
| 61.5 | 16 |
| 48.3 | 14 |
| 48.1 | 13 |
| 48.5 | 13 |
| 60.7 | 13 |

```
LiScF4
1.0
3.564 -5.096 0.000
3.564 5.096 0.000
-3.558 0.000 3.581
Li Sc F
2 2 8
direct
0.123 0.877 0.750
0.877 0.123 0.250
0.375 0.625 0.250
0.625 0.375 0.750
0.026 0.617 0.861
0.244 0.335 0.720
0.335 0.244 0.220
0.383 0.974 0.639
0.617 0.026 0.361
0.665 0.756 0.780
0.756 0.665 0.280
0.974 0.383 0.139
```